Record 1
For NaLi5Fe2P2C2O14, DFT lattice parameters and positions (PBE+U) gives the calculated powder diffraction line list in this record (copper Kα).
Lines closer than 0.1° are merged.

```
NaLi5Fe2P2C2O14
1.0
8.555 0.000 0.000
0.000 6.554 0.000
-0.972 0.000 10.140
Na Li Fe P C O
2 10 4 4 4 28
Direct
0.000 0.247 0.000
0.000 0.753 0.500
0.024 0.220 0.507
0.024 0.780 0.007
0.458 0.279 0.259
0.458 0.721 0.759
0.465 0.269 0.763
0.465 0.731 0.263
0.646 0.481 0.512
0.646 0.519 0.012
0.839 0.013 0.248
0.839 0.987 0.748
0.075 0.495 0.741
0.075 0.505 0.241
0.410 0.003 0.031
0.410 0.997 0.531
0.154 0.004 0.277
0.154 0.996 0.777
0.330 0.491 0.499
0.330 0.509 0.999
0.703 0.007 0.479
0.703 0.993 0.979
0.772 0.494 0.280
0.772 0.506 0.780
0.046 0.180 0.731
0.046 0.820 0.231
0.055 0.192 0.225
0.055 0.808 0.725
0.167 0.468 0.550
0.167 0.532 0.050
0.177 0.013 0.430
0.177 0.987 0.930
0.311 0.500 0.345
0.311 0.500 0.845
0.316 0.006 0.723
0.316 0.994 0.223
0.420 0.316 0.056
0.420 0.684 0.556
0.443 0.312 0.547
0.443 0.688 0.047
0.584 0.010 0.889
0.584 0.990 0.389
0.628 0.495 0.312
0.628 0.505 0.812
0.676 0.002 0.102
0.676 0.998 0.602
0.805 0.492 0.159
0.805 0.508 0.659
0.843 0.033 0.444
0.843 0.967 0.944
0.888 0.495 0.373
0.888 0.505 0.873
```

Most intense lines, 15 to 90 degrees two-theta, low angle first:
2θ 17.07, d 5.194, I 26; 2θ 19.50, d 4.552, I 33; 2θ 21.23, d 4.185, I 48; 2θ 25.25, d 3.527, I 26; 2θ 26.01, d 3.426, I 37; 2θ 27.21, d 3.277, I 100; 2θ 34.75, d 2.582, I 27; 2θ 35.41, d 2.535, I 25; 2θ 35.99, d 2.496, I 33; 2θ 40.29, d 2.239, I 26

Record 2
For Li9Mn2Co5O16, DFT lattice parameters and positions (PBE+U) gives the calculated powder diffraction line list in this record (copper Kα).
Lines closer than 0.1° are merged.

```
Li9Mn2Co5O16
1.0
10.557 -1.449 0.000
10.557 1.449 0.000
-4.049 0.000 9.431
Li Mn Co O
9 2 5 16
Direct
0.000 0.000 0.000
0.121 0.121 0.934
0.237 0.237 0.870
0.239 0.239 0.365
0.500 0.500 0.249
0.502 0.502 0.761
0.733 0.733 0.110
0.744 0.744 0.611
0.997 0.997 0.506
0.621 0.621 0.692
0.869 0.869 0.059
0.119 0.119 0.427
0.368 0.368 0.310
0.371 0.371 0.807
0.615 0.615 0.160
0.870 0.870 0.558
0.061 0.061 0.220
0.064 0.064 0.711
0.175 0.175 0.653
0.178 0.178 0.155
0.311 0.311 0.590
0.312 0.312 0.078
0.425 0.425 0.038
0.429 0.429 0.531
0.557 0.557 0.975
0.564 0.564 0.476
0.676 0.676 0.403
0.678 0.678 0.882
0.814 0.814 0.341
0.820 0.820 0.851
0.920 0.920 0.264
0.925 0.925 0.779
```

Most intense lines, 15 to 90 degrees two-theta, low angle first:
2θ 18.29, d 4.850, I 100; 2θ 35.46, d 2.532, I 15; 2θ 36.16, d 2.484, I 25; 2θ 37.66, d 2.388, I 8; 2θ 42.90, d 2.108, I 28; 2θ 43.78, d 2.068, I 53; 2θ 47.55, d 1.912, I 13; 2θ 57.61, d 1.600, I 10; 2θ 62.81, d 1.480, I 14; 2θ 63.11, d 1.473, I 14

Record 3
For Na5LaMo4O16, DFT lattice parameters and positions (PBE+U) gives the calculated powder diffraction line list in this record (copper Kα).
Lines closer than 0.1° are merged.

```
Na5LaMo4O16
1.0
-5.884 5.884 5.857
5.884 -5.884 5.857
5.884 5.884 -5.857
Na La Mo O
10 2 8 32
Direct
0.115 0.284 0.078
0.216 0.794 0.831
0.294 0.963 0.578
0.375 0.125 0.250
0.463 0.385 0.669
0.537 0.615 0.331
0.625 0.875 0.750
0.706 0.037 0.422
0.784 0.206 0.169
0.885 0.716 0.922
0.125 0.375 0.750
0.875 0.625 0.250
0.047 0.073 0.332
0.215 0.547 0.474
0.241 0.715 0.168
0.427 0.259 0.974
0.573 0.741 0.026
0.759 0.285 0.832
0.785 0.453 0.526
0.953 0.927 0.668
0.003 0.480 0.349
0.018 0.162 0.209
0.020 0.869 0.523
0.067 0.143 0.803
0.155 0.503 0.023
0.160 0.736 0.303
0.203 0.830 0.075
0.236 0.433 0.576
0.256 0.128 0.425
0.308 0.518 0.356
0.330 0.756 0.628
0.338 0.047 0.856
0.357 0.660 0.924
0.369 0.345 0.849
0.372 0.297 0.128
0.453 0.808 0.291
0.547 0.192 0.709
0.628 0.703 0.872
0.631 0.655 0.151
0.643 0.340 0.076
0.662 0.953 0.144
0.670 0.244 0.372
0.692 0.482 0.644
0.744 0.872 0.575
0.764 0.567 0.424
0.797 0.170 0.925
0.840 0.264 0.697
0.845 0.497 0.977
0.933 0.857 0.197
0.980 0.131 0.477
0.982 0.838 0.791
0.997 0.520 0.651
```

Most intense lines, 15 to 90 degrees two-theta, low angle first:
2θ 18.48, d 4.800, I 31; 2θ 23.96, d 3.714, I 25; 2θ 28.42, d 3.141, I 100; 2θ 30.53, d 2.929, I 8; 2θ 34.07, d 2.631, I 14; 2θ 46.39, d 1.958, I 21; 2θ 47.66, d 1.908, I 8; 2θ 48.96, d 1.861, I 9; 2θ 52.96, d 1.729, I 8; 2θ 57.58, d 1.601, I 16

> Which formula does entry 1 have?

NaLi5Fe2P2C2O14